Entry 1:
This entry pairs a crystal structure of Ce4As3P with its simulated XRD peak list. Radiation: λ = 1.5418 Å (Cu Kα). Structure: the GGA-PBE geometry in Alexandria.

Peak list (10 most intense, 10 to 90 degrees two-theta, sorted by position)
2θ (°)  I (rel.)  (hkl)
26.07  24  1 0 4
30.19  100  0 1 8
43.23  74  1 1 0
51.18  12  0 2 4
53.55  6  0 0 24
53.66  20  2 0 8
62.78  12  0 2 16
71.24  33  1 2 8
79.18  6  0 1 32
79.32  18  3 0 0

Structural model:
Cell lengths 4.1833, 4.1833, 41.0680 Å; angles 90.00, 90.00, 120.00 degrees
Space group R-3m (No. 166, hexagonal axes)
Asymmetric unit:
1 Ce 0.0000 0.0000 0.1243 x6
2 Ce 0.0000 0.0000 0.3729 x6
3 As 0.0000 0.0000 0.2511 x6
4 As 0.0000 0.0000 0.5000 x3
5 P 0.0000 0.0000 0.0000 x3

Entry 2:
This entry pairs a crystal structure of CePaAsP with its simulated XRD peak list. Radiation: λ = 1.5418 Å (Cu Kα). Structure: the GGA-PBE geometry in Alexandria.

Peak list (10 most intense, 10 to 90 degrees two-theta, sorted by position)
2θ (°)  I (rel.)  (hkl)
25.17  21  0 0 6
26.06  56  1 0 1
27.07  36  0 1 2
30.82  35  1 0 4
33.38  100  0 1 5
39.49  35  1 0 7
45.34  50  1 1 0
50.41  19  1 0 10
57.46  21  2 0 5
71.14  21  1 1 12

Structural model:
Cell lengths 4.0004, 4.0004, 21.2326 Å; angles 90.00, 90.00, 120.00 degrees
Space group R3m (No. 160, hexagonal axes)
Asymmetric unit:
1 Ce 0.0000 0.0000 0.0000 x3
2 Pa 0.0000 0.0000 0.1811 x3
3 As 0.0000 0.0000 0.7624 x3
4 P 0.0000 0.0000 0.5870 x3

Entry 3:
This entry pairs a crystal structure of CeAsPRu3 with its simulated XRD peak list. Radiation: λ = 1.5418 Å (Cu Kα). Structure: the GGA-PBE geometry in Alexandria.

Peak list (10 most intense, 10 to 90 degrees two-theta, sorted by position)
2θ (°)  I (rel.)  (hkl)
24.39  90  0 4 0
29.01  31  1 3 1
29.15  21  0 4 1
34.09  100  0 2 2
34.29  98  2 2 0
45.66  87  2 0 2
49.49  48  0 6 2
49.64  48  2 6 0
52.43  59  2 4 2
87.49  23  4 6 2

Structural model:
Cell lengths 5.602, 14.595, 5.638 Å; angles 90.00, 90.00, 90.00 degrees
Space group Cmcm (No. 63)
Asymmetric unit:
1 Ce 0.000 0.221 0.250 x4
2 As 0.000 0.094 0.750 x4
3 P 0.000 0.419 0.750 x4
4 Ru 0.000 0.261 0.750 x4
5 Ru 0.247 0.500 0.000 x8

Entry 4:
This entry pairs a crystal structure of Ce8As4P3S with its simulated XRD peak list. Radiation: λ = 1.5418 Å (Cu Kα). Structure: the GGA-PBE geometry in Alexandria.

Peak list (10 most intense, 10 to 90 degrees two-theta, sorted by position)
2θ (°)  I (rel.)  (hkl)
26.28  36  2 0 2
30.43  100  0 2 4
43.58  74  2 2 0
51.60  18  0 4 2
54.08  26  4 0 4
63.32  12  0 4 8
71.87  33  2 4 4
80.00  18  4 2 8
80.06  6  6 0 0
86.00  4  6 0 6

Structural model:
Cell lengths 8.3039, 8.3039, 20.3707 Å; angles 90.00, 90.00, 120.00 degrees
Space group R-3m (No. 166, hexagonal axes)
Asymmetric unit:
1 Ce 0.0000 0.0000 0.2471 x6
2 Ce 0.0013 0.5006 0.7527 x18
3 As 0.0000 0.0000 0.0000 x3
4 As 0.0000 0.5000 0.0000 x9
5 P 0.0000 0.5000 0.5000 x9
6 S 0.0000 0.0000 0.5000 x3

Entry 5:
This entry pairs a crystal structure of Ce4Sb2AsP with its simulated XRD peak list. Radiation: λ = 1.5418 Å (Cu Kα). Structure: the GGA-PBE geometry in Alexandria.

Peak list (10 most intense, 10 to 90 degrees two-theta, sorted by position)
2θ (°)  I (rel.)  (hkl)
25.35  7  1 1 -1
29.23  100  1 1 1
31.86  7  1 1 -2
41.54  36  1 1 -3
42.08  38  0 2 0
52.06  20  2 2 -2
60.62  12  2 2 2
68.31  14  0 2 4
69.08  17  1 3 1
76.53  12  1 3 -3

Structural model:
Cell lengths 7.441, 4.293, 7.562 Å; angles 90.00, 109.12, 90.00 degrees
Space group P2/m (No. 10)
Asymmetric unit:
1 Ce 0.238 0.000 0.226 x2
2 Ce 0.253 0.500 0.771 x2
3 Sb 0.000 0.000 0.500 x1
4 Sb 0.500 0.500 0.500 x1
5 As 0.500 0.000 0.000 x1
6 P 0.000 0.500 0.000 x1

Entry 6:
This entry pairs a crystal structure of CeSc2PaAs4 with its simulated XRD peak list. Radiation: λ = 1.5418 Å (Cu Kα). Structure: the GGA-PBE geometry in Alexandria.

Peak list (10 most intense, 10 to 90 degrees two-theta, sorted by position)
2θ (°)  I (rel.)  (hkl)
13.64  22  1 0 0
25.86  23  0 1 1
31.47  100  1 1 1
34.44  15  1 0 2
44.85  38  0 2 0
45.37  35  3 1 -1
55.81  19  2 2 -2
65.70  11  2 2 2
74.28  16  1 3 1
75.06  15  4 2 0

Structural model:
Cell lengths 6.897, 4.040, 7.005 Å; angles 90.00, 109.72, 90.00 degrees
Space group P2/m (No. 10)
Asymmetric unit:
1 Ce 0.000 0.000 0.000 x1
2 Sc 0.500 0.000 0.500 x1
3 Sc 0.500 0.500 0.000 x1
4 Pa 0.000 0.500 0.500 x1
5 As 0.266 0.000 0.751 x2
6 As 0.268 0.500 0.261 x2

Entry 7:
This entry pairs a crystal structure of SrCe2PaAs4 with its simulated XRD peak list. Radiation: λ = 1.5418 Å (Cu Kα). Structure: the GGA-PBE geometry in Alexandria.

Peak list (10 most intense, 10 to 90 degrees two-theta, sorted by position)
2θ (°)  I (rel.)  (hkl)
25.75  19  1 1 2
29.82  100  2 0 0
42.68  75  2 2 0
50.52  10  1 1 6
52.94  26  2 2 4
62.00  8  4 0 0
70.17  11  2 0 8
70.30  23  4 2 0
78.07  8  2 2 8
78.18  17  4 2 4

Structural model:
Cell lengths 5.987, 5.987, 12.002 Å; angles 90.00, 90.00, 90.00 degrees
Space group I-4m2 (No. 119)
Asymmetric unit:
1 Sr 0.000 0.000 0.000 x2
2 Ce 0.000 0.000 0.500 x2
3 Ce 0.000 0.500 0.250 x2
4 Pa 0.000 0.500 0.750 x2
5 As 0.000 0.000 0.257 x4
6 As 0.000 0.500 0.510 x4

Entry 8:
This entry pairs a crystal structure of TbCe2PaAs5 with its simulated XRD peak list. Radiation: λ = 1.5418 Å (Cu Kα). Structure: the GGA-PBE geometry in Alexandria.

Peak list (10 most intense, 10 to 90 degrees two-theta, sorted by position)
2θ (°)  I (rel.)  (hkl)
23.90  66  1 0 2
24.69  100  1 1 0
32.88  42  0 0 4
35.20  81  2 0 0
41.55  42  1 1 4
43.00  29  2 1 2
48.93  56  2 0 4
50.63  29  2 2 0
61.70  28  2 2 4
67.49  23  3 1 4

Structural model:
Cell lengths 5.100, 5.100, 10.896 Å; angles 90.00, 90.00, 90.00 degrees
Space group P4/mmm (No. 123)
Asymmetric unit:
1 Tb 0.000 0.000 0.000 x1
2 Ce 0.500 0.500 0.278 x2
3 Pa 0.000 0.000 0.500 x1
4 As 0.000 0.000 0.247 x2
5 As 0.000 0.500 0.500 x2
6 As 0.500 0.500 0.000 x1

Entry 9:
This entry pairs a crystal structure of Ce2TmPaAs5 with its simulated XRD peak list. Radiation: λ = 1.5418 Å (Cu Kα). Structure: the GGA-PBE geometry in Alexandria.

Peak list (10 most intense, 10 to 90 degrees two-theta, sorted by position)
2θ (°)  I (rel.)  (hkl)
23.98  67  1 0 2
24.67  100  1 1 0
33.16  41  0 0 4
35.17  93  2 0 0
41.76  44  1 1 4
43.02  29  2 1 2
49.11  55  2 0 4
50.59  30  2 2 0
61.83  27  2 2 4
67.62  22  3 1 4

Structural model:
Cell lengths 5.104, 5.104, 10.808 Å; angles 90.00, 90.00, 90.00 degrees
Space group P4/mmm (No. 123)
Asymmetric unit:
1 Ce 0.000 0.000 0.222 x2
2 Tm 0.500 0.500 0.500 x1
3 Pa 0.500 0.500 0.000 x1
4 As 0.000 0.000 0.500 x1
5 As 0.000 0.500 0.000 x2
6 As 0.500 0.500 0.255 x2

Entry 10:
This entry pairs a crystal structure of CeYPa2As4 with its simulated XRD peak list. Radiation: λ = 1.5418 Å (Cu Kα). Structure: the GGA-PBE geometry in Alexandria.

Peak list (10 most intense, 10 to 90 degrees two-theta, sorted by position)
2θ (°)  I (rel.)  (hkl)
13.12  13  0 0 1
26.44  27  0 0 2
30.62  100  1 1 1
43.86  75  0 2 0
51.94  13  1 1 3
54.43  26  4 0 0
63.76  12  2 2 2
72.38  34  4 2 0
80.55  11  5 1 1
80.64  15  3 3 -1

Structural model:
Cell lengths 7.149, 4.126, 7.157 Å; angles 90.00, 109.43, 90.00 degrees
Space group P2/m (No. 10)
Asymmetric unit:
1 Ce 0.000 0.000 0.000 x1
2 Y 0.500 0.500 0.000 x1
3 Pa 0.000 0.500 0.500 x1
4 Pa 0.500 0.000 0.500 x1
5 As 0.251 0.000 0.745 x2
6 As 0.255 0.500 0.256 x2

Entry 11:
This entry pairs a crystal structure of Ce3As4Pb with its simulated XRD peak list. Radiation: λ = 1.5418 Å (Cu Kα). Structure: the GGA-PBE geometry in Alexandria.

Peak list (10 most intense, 10 to 90 degrees two-theta, sorted by position)
2θ (°)  I (rel.)  (hkl)
25.63  21  1 1 1
29.67  100  2 0 0
42.46  75  2 2 0
50.26  11  3 1 1
52.66  27  2 2 2
61.61  12  4 0 0
67.85  4  3 3 1
69.86  34  4 2 0
77.69  26  4 2 2
83.41  3  5 1 1

Structural model:
Cell lengths 6.021, 6.021, 6.021 Å; angles 90.00, 90.00, 90.00 degrees
Space group Pm-3m (No. 221)
Asymmetric unit:
1 Ce 0.000 0.000 0.500 x3
2 As 0.000 0.000 0.000 x1
3 As 0.000 0.500 0.500 x3
4 Pb 0.500 0.500 0.500 x1

Entry 12:
This entry pairs a crystal structure of Ce2As6Pd21 with its simulated XRD peak list. Radiation: λ = 1.5418 Å (Cu Kα). Structure: the GGA-PBE geometry in Alexandria.

Peak list (10 most intense, 10 to 90 degrees two-theta, sorted by position)
2θ (°)  I (rel.)  (hkl)
31.94  17  4 2 0
35.08  21  4 2 2
37.28  100  3 3 3
40.73  51  4 4 0
42.68  32  5 3 1
43.32  14  6 0 0
48.17  28  6 2 2
62.93  24  6 6 0
64.38  14  5 5 5
74.13  28  8 4 4

Structural model:
Cell lengths 12.532, 12.532, 12.532 Å; angles 90.00, 90.00, 90.00 degrees
Space group Fm-3m (No. 225)
Asymmetric unit:
1 Ce 0.250 0.250 0.250 x8
2 As 0.000 0.000 0.238 x24
3 Pd 0.000 0.000 0.500 x4
4 Pd 0.000 0.174 0.326 x48
5 Pd 0.117 0.117 0.117 x32

Entry 13:
This entry pairs a crystal structure of Ce3As5Pd6 with its simulated XRD peak list. Radiation: λ = 1.5418 Å (Cu Kα). Structure: the GGA-PBE geometry in Alexandria.

Peak list (10 most intense, 10 to 90 degrees two-theta, sorted by position)
2θ (°)  I (rel.)  (hkl)
34.10  23  0 3 3
34.58  29  1 0 3
35.02  100  1 3 2
41.99  27  0 6 0
42.23  11  1 5 1
43.61  31  2 0 0
56.50  14  2 3 3
62.14  17  2 6 0
64.16  12  1 3 6
74.51  11  3 3 2

Structural model:
Cell lengths 4.151, 12.907, 9.966 Å; angles 90.00, 90.00, 90.00 degrees
Space group Pmmn (No. 59, origin choice 2)
Asymmetric unit:
1 Ce 0.250 0.086 0.244 x4
2 Ce 0.250 0.750 0.257 x2
3 As 0.250 0.085 0.849 x4
4 As 0.250 0.626 0.531 x4
5 As 0.250 0.750 0.840 x2
6 Pd 0.250 0.064 0.602 x4
7 Pd 0.250 0.250 0.472 x2
8 Pd 0.250 0.250 0.995 x2
9 Pd 0.250 0.582 0.997 x4